No. 1
# CuNi7Rh2
Simulated powder X-ray diffraction pattern, Cu Kα X-rays. Input: a PBE-relaxed structure.

Crystal structure
Unit cell a=4.408 b=4.425 c=6.779 alpha=108.89 beta=102.43 gamma=99.73
Fractional coordinates of all 10 atoms:
Cu  0.000  0.000  0.000
Ni  0.093  0.199  0.696
Ni  0.202  0.400  0.400
Ni  0.298  0.599  0.103
Ni  0.500  0.000  0.500
Ni  0.702  0.401  0.897
Ni  0.798  0.600  0.600
Ni  0.907  0.801  0.304
Rh  0.395  0.794  0.794
Rh  0.605  0.206  0.206

Most intense lines, 2θ from 15° to 90°, low angle first:
2theta, I/Imax
21.33, 6
43.27, 100
43.41, 50
43.49, 49
50.38, 63
50.75, 31
73.76, 9
74.26, 27
74.37, 18
89.71, 17

***

No. 2
# CuNiRu
Simulated powder X-ray diffraction pattern, Cu Kα X-rays. Input: a PBE-relaxed structure.

Crystal structure
Unit cell a=4.510 b=4.510 c=5.211 alpha=107.60 beta=107.60 gamma=47.68
Fractional coordinates of all 6 atoms:
Cu  0.000  0.000  0.000
Cu  0.664  0.664  0.305
Ni  0.330  0.330  0.156
Ni  0.996  0.996  0.481
Ru  0.334  0.334  0.657
Ru  0.664  0.664  0.801

Most intense lines, 2θ from 15° to 90°, low angle first:
2theta, I/Imax
42.66, 99
42.76, 100
49.16, 32
50.01, 61
72.77, 19
73.42, 19
87.45, 11
87.66, 11
88.70, 10
88.90, 33

***

No. 3
# CuNi3S8
Simulated powder X-ray diffraction pattern, Cu Kα X-rays. Input: a PBE-relaxed structure.

Crystal structure
Unit cell a=5.669 b=5.669 c=5.669 alpha=90.43 beta=90.43 gamma=90.43
Fractional coordinates of all 12 atoms:
Cu  0.000  0.000  0.000
Ni  0.000  0.500  0.500
Ni  0.500  0.000  0.500
Ni  0.500  0.500  0.000
S  0.109  0.595  0.891
S  0.109  0.891  0.405
S  0.394  0.394  0.394
S  0.405  0.109  0.891
S  0.595  0.891  0.109
S  0.606  0.606  0.606
S  0.891  0.109  0.595
S  0.891  0.405  0.109

Most intense lines, 2θ from 15° to 90°, low angle first:
2theta, I/Imax
27.18, 24
31.57, 100
35.30, 14
35.52, 18
45.07, 25
45.43, 25
53.43, 20
53.59, 42
53.90, 19
89.90, 15

***

No. 4
# CuNi2S4
Simulated powder X-ray diffraction pattern, Cu Kα X-rays. Input: a PBE-relaxed structure.

Crystal structure
Unit cell a=6.782 b=6.782 c=6.782 alpha=59.97 beta=59.97 gamma=59.97
Fractional coordinates of all 14 atoms:
Cu  0.125  0.125  0.125
Cu  0.875  0.875  0.875
Ni  0.000  0.500  0.500
Ni  0.500  0.000  0.500
Ni  0.500  0.500  0.000
Ni  0.500  0.500  0.500
S  0.262  0.262  0.262
S  0.262  0.262  0.714
S  0.262  0.714  0.262
S  0.286  0.738  0.738
S  0.714  0.262  0.262
S  0.738  0.286  0.738
S  0.738  0.738  0.286
S  0.738  0.738  0.738

Most intense lines, 2θ from 15° to 90°, low angle first:
2theta, I/Imax
16.01, 15
26.29, 33
30.93, 100
37.52, 42
46.39, 12
49.38, 50
54.10, 80
63.63, 12
76.27, 17
88.25, 12

***

No. 5
# CuNi2S3
Simulated powder X-ray diffraction pattern, Cu Kα X-rays. Input: a PBE-relaxed structure.

Crystal structure
Unit cell a=12.025 b=6.211 c=11.497 alpha=79.45 beta=30.52 gamma=70.03
Fractional coordinates of all 24 atoms:
Cu  0.333  0.667  0.335
Cu  0.585  0.915  0.583
Cu  0.667  0.333  0.665
Cu  0.915  0.585  0.917
Ni  0.003  0.003  0.997
Ni  0.082  0.416  0.088
Ni  0.162  0.836  0.168
Ni  0.253  0.253  0.247
Ni  0.416  0.082  0.414
Ni  0.504  0.504  0.496
Ni  0.754  0.754  0.746
Ni  0.836  0.162  0.834
S  0.056  0.204  0.280
S  0.119  0.627  0.374
S  0.204  0.056  0.460
S  0.304  0.448  0.535
S  0.370  0.876  0.623
S  0.448  0.304  0.713
S  0.537  0.715  0.802
S  0.627  0.119  0.880
S  0.715  0.537  0.946
S  0.790  0.970  0.046
S  0.876  0.370  0.131
S  0.970  0.790  0.194

Most intense lines, 2θ from 15° to 90°, low angle first:
2theta, I/Imax
30.28, 100
30.40, 100
34.99, 14
50.16, 20
50.48, 19
50.74, 77
59.79, 25
60.00, 25
60.65, 24
73.91, 11

***

No. 6
# CuNiS2
Simulated powder X-ray diffraction pattern, Cu Kα X-rays. Input: a PBE-relaxed structure.

Crystal structure
Unit cell a=7.081 b=7.081 c=5.721 alpha=90.00 beta=90.00 gamma=152.48
Fractional coordinates of all 8 atoms:
Cu  0.071  0.929  0.500
Cu  0.929  0.071  0.000
Ni  0.333  0.667  0.555
Ni  0.667  0.333  0.055
S  0.083  0.917  0.888
S  0.206  0.794  0.293
S  0.794  0.206  0.793
S  0.917  0.083  0.388

Most intense lines, 2θ from 15° to 90°, low angle first:
2theta, I/Imax
27.26, 49
30.32, 100
31.27, 34
31.50, 88
36.64, 29
46.10, 49
53.63, 29
54.03, 35
54.49, 27
55.80, 29

***

No. 7
# Cu3NiS4
Simulated powder X-ray diffraction pattern, Cu Kα X-rays. Input: a PBE-relaxed structure.

Crystal structure
Unit cell a=6.319 b=6.319 c=6.319 alpha=131.52 beta=131.52 gamma=70.99
Fractional coordinates of all 8 atoms:
Cu  0.000  0.000  0.000
Cu  0.250  0.750  0.500
Cu  0.750  0.250  0.500
Ni  0.500  0.500  0.000
S  0.136  0.136  0.516
S  0.380  0.864  0.000
S  0.620  0.620  0.484
S  0.864  0.380  0.000

Most intense lines, 2θ from 15° to 90°, low angle first:
2theta, I/Imax
29.91, 100
34.57, 7
34.88, 4
49.70, 20
49.93, 39
59.10, 25
59.51, 12
72.93, 6
80.77, 5
81.13, 10

***

No. 8
# Cu4Si2NiS7
Simulated powder X-ray diffraction pattern, Cu Kα X-rays. Input: a PBE-relaxed structure.

Crystal structure
Unit cell a=6.354 b=6.354 c=8.183 alpha=97.88 beta=97.88 gamma=49.19
Fractional coordinates of all 14 atoms:
Cu  0.140  0.140  0.433
Cu  0.275  0.305  0.861
Cu  0.695  0.725  0.139
Cu  0.860  0.860  0.567
Si  0.398  0.454  0.282
Si  0.546  0.602  0.718
Ni  0.980  0.020  0.000
S  0.038  0.533  0.351
S  0.176  0.698  0.788
S  0.302  0.824  0.212
S  0.467  0.962  0.649
S  0.592  0.132  0.086
S  0.712  0.288  0.500
S  0.868  0.408  0.914

Most intense lines, 2θ from 15° to 90°, low angle first:
2theta, I/Imax
29.66, 100
29.77, 98
49.20, 40
49.41, 40
49.76, 20
50.06, 20
58.09, 25
58.89, 12
59.09, 12
59.46, 12

***

No. 9
# CuNi3Sn2S8
Simulated powder X-ray diffraction pattern, Cu Kα X-rays. Input: a PBE-relaxed structure.

Crystal structure
Unit cell a=7.093 b=7.093 c=7.093 alpha=119.87 beta=119.30 gamma=90.72
Fractional coordinates of all 14 atoms:
Cu  0.000  0.000  0.000
Ni  0.236  0.736  0.500
Ni  0.616  0.366  0.750
Ni  0.616  0.866  0.250
Sn  0.117  0.367  0.750
Sn  0.617  0.367  0.250
S  0.383  0.124  0.740
S  0.383  0.643  0.260
S  0.390  0.113  0.277
S  0.394  0.624  0.770
S  0.836  0.113  0.723
S  0.849  0.093  0.245
S  0.849  0.604  0.755
S  0.854  0.624  0.230

Most intense lines, 2θ from 15° to 90°, low angle first:
2theta, I/Imax
15.29, 49
25.09, 43
29.31, 100
29.45, 45
29.67, 71
35.58, 65
36.04, 31
46.87, 26
51.43, 26
51.55, 98

***

No. 10
# UCu2NiS4
Simulated powder X-ray diffraction pattern, Cu Kα X-rays. Input: a PBE-relaxed structure.

Crystal structure
Unit cell a=6.150 b=5.550 c=5.906 alpha=64.85 beta=54.78 gamma=60.37
Fractional coordinates of all 8 atoms:
U  0.000  0.000  0.000
Cu  0.150  0.150  0.350
Cu  0.650  0.650  0.850
Ni  0.399  0.399  0.601
S  0.001  0.494  0.999
S  0.266  0.719  0.281
S  0.494  0.001  0.506
S  0.719  0.266  0.734

Most intense lines, 2θ from 15° to 90°, low angle first:
2theta, I/Imax
18.76, 94
21.63, 27
29.21, 35
30.92, 46
32.41, 100
33.55, 35
36.29, 41
38.05, 28
39.37, 40
51.88, 48

***

No. 11
# CuNi6Sb
Simulated powder X-ray diffraction pattern, Cu Kα X-rays. Input: a PBE-relaxed structure.

Crystal structure
Unit cell a=6.299 b=6.299 c=10.308 alpha=90.00 beta=90.00 gamma=109.49
Fractional coordinates of all 32 atoms:
Cu  0.000  0.000  0.244
Cu  0.000  0.000  0.756
Cu  0.251  0.749  0.000
Cu  0.749  0.251  0.000
Ni  0.000  0.000  0.000
Ni  0.000  0.000  0.500
Ni  0.117  0.372  0.120
Ni  0.117  0.372  0.880
Ni  0.122  0.368  0.371
Ni  0.122  0.368  0.629
Ni  0.246  0.754  0.243
Ni  0.246  0.754  0.757
Ni  0.368  0.122  0.371
Ni  0.368  0.122  0.629
Ni  0.372  0.117  0.120
Ni  0.372  0.117  0.880
Ni  0.500  0.500  0.000
Ni  0.500  0.500  0.500
Ni  0.628  0.883  0.120
Ni  0.628  0.883  0.880
Ni  0.632  0.878  0.371
Ni  0.632  0.878  0.629
Ni  0.754  0.246  0.243
Ni  0.754  0.246  0.757
Ni  0.878  0.632  0.371
Ni  0.878  0.632  0.629
Ni  0.883  0.628  0.120
Ni  0.883  0.628  0.880
Sb  0.251  0.749  0.500
Sb  0.500  0.500  0.243
Sb  0.500  0.500  0.757
Sb  0.749  0.251  0.500

Most intense lines, 2θ from 15° to 90°, low angle first:
2theta, I/Imax
24.46, 4
31.34, 1
34.86, 3
35.96, 1
43.05, 100
50.13, 47
73.50, 4
73.64, 23
89.17, 11
89.32, 22

***

No. 12
# ScCuNi3
Simulated powder X-ray diffraction pattern, Cu Kα X-rays. Input: a PBE-relaxed structure.

Crystal structure
Unit cell a=5.865 b=5.865 c=5.865 alpha=125.67 beta=108.46 gamma=95.76
Fractional coordinates of all 10 atoms:
Sc  0.227  0.227  0.000
Sc  0.773  0.773  0.000
Cu  0.500  0.214  0.714
Cu  0.500  0.786  0.286
Ni  0.175  0.273  0.448
Ni  0.175  0.727  0.903
Ni  0.227  0.727  0.500
Ni  0.773  0.273  0.500
Ni  0.825  0.273  0.097
Ni  0.825  0.727  0.552

Most intense lines, 2θ from 15° to 90°, low angle first:
2theta, I/Imax
22.60, 24
25.99, 21
34.71, 24
40.76, 100
41.12, 38
42.85, 15
46.15, 34
53.15, 30
54.02, 39
82.72, 17